Record 1
Simulated X-ray diffraction stick pattern
Compound: CaMnCrO2
Radiation: CuKα
Structure: the GGA+U geometry in Alexandria
No peak broadening, texture or thermal motion is included.

Main lines, in order of rising 2θ (5° ≤ 2θ ≤ 70°):
Position (°2θ)	I/Imax
21.61	82
29.15	27
30.75	100
36.58	52
39.25	60
44.04	84
45.24	21
50.67	47
60.44	57
64.04	23

Structural model:
Unit cell a=4.112 b=4.112 c=4.591 alpha=90.00 beta=90.00 gamma=90.00
Atoms (fractional coordinates):
Ca 0.000 0.000 0.000
Mn 0.500 0.500 0.000
Cr 0.500 0.500 0.500
O 0.000 0.500 0.500
O 0.500 0.000 0.500

=====

Record 2
Simulated X-ray diffraction stick pattern
Compound: Ca4Mn3CrO12
Radiation: CuKα
Structure: the GGA+U geometry in Alexandria
No peak broadening, texture or thermal motion is included.

Main lines, in order of rising 2θ (5° ≤ 2θ ≤ 70°):
Position (°2θ)	I/Imax
23.17	9
23.44	18
33.19	100
33.39	49
41.03	10
47.36	27
47.94	52
59.18	17
59.55	34
69.67	28

Structural model:
Unit cell a=7.591 b=7.591 c=3.839 alpha=90.00 beta=90.00 gamma=90.00
Atoms (fractional coordinates):
Ca 0.248 0.248 0.000
Ca 0.248 0.752 0.000
Ca 0.752 0.248 0.000
Ca 0.752 0.752 0.000
Mn 0.000 0.000 0.500
Mn 0.000 0.500 0.500
Mn 0.500 0.000 0.500
Cr 0.500 0.500 0.500
O 0.000 0.000 0.000
O 0.000 0.250 0.500
O 0.000 0.500 0.000
O 0.000 0.750 0.500
O 0.250 0.000 0.500
O 0.250 0.500 0.500
O 0.500 0.000 0.000
O 0.500 0.250 0.500
O 0.500 0.500 0.000
O 0.500 0.750 0.500
O 0.750 0.000 0.500
O 0.750 0.500 0.500

=====

Record 3
Simulated X-ray diffraction stick pattern
Compound: SrCa7Mn6Cr2O23
Radiation: CuKα
Structure: the GGA+U geometry in Alexandria
No peak broadening, texture or thermal motion is included.

Main lines, in order of rising 2θ (5° ≤ 2θ ≤ 70°):
Position (°2θ)	I/Imax
32.91	100
33.05	24
33.17	22
47.19	19
47.30	19
47.51	18
58.78	13
58.90	13
59.07	16
69.00	13

Structural model:
Unit cell a=7.656 b=7.688 c=7.704 alpha=89.91 beta=89.78 gamma=89.53
Atoms (fractional coordinates):
Sr 0.000 0.000 0.000
Ca 0.020 0.523 0.983
Ca 0.447 0.485 0.499
Ca 0.469 0.955 0.503
Ca 0.485 0.989 0.989
Ca 0.510 0.510 0.990
Ca 0.983 0.478 0.511
Ca 0.984 0.970 0.514
Mn 0.242 0.737 0.248
Mn 0.243 0.238 0.753
Mn 0.243 0.739 0.747
Mn 0.735 0.244 0.735
Mn 0.741 0.737 0.743
Mn 0.743 0.736 0.242
Cr 0.229 0.238 0.256
Cr 0.717 0.252 0.262
O 0.188 0.268 0.004
O 0.205 0.487 0.294
O 0.208 0.488 0.716
O 0.216 0.776 0.497
O 0.276 0.705 0.998
O 0.276 0.988 0.776
O 0.281 0.989 0.217
O 0.297 0.212 0.505
O 0.487 0.284 0.208
O 0.493 0.702 0.706
O 0.495 0.267 0.811
O 0.495 0.701 0.285
O 0.697 0.764 0.991
O 0.703 0.311 0.481
O 0.704 0.994 0.711
O 0.714 0.029 0.223
O 0.782 0.489 0.781
O 0.783 0.438 0.154
O 0.790 0.723 0.490
O 0.989 0.204 0.715
O 0.992 0.770 0.777
O 0.993 0.758 0.206
O 0.994 0.198 0.303